# 1
Structure and computed PXRD pattern of Ce4Cu5As7 (a crystal structure in Alexandria, relaxed with GGA-PBE; copper Kα).

Top 10 peaks for 2θ = 10–80°, in order of falling intensity:
2θ (°), I/Imax, (hkl)
36.75, 100, 2 0 4
45.32, 37, 2 2 0
35.65, 23, 1 1 6
78.02, 21, 4 2 4
28.90, 20, 1 1 4
24.05, 16, 1 1 2
52.31, 14, 1 1 10
36.99, 12, 0 0 8
59.87, 11, 2 2 8
66.03, 11, 4 0 0

Structural model:
Lattice parameters (Å, degrees): 5.660 5.660 19.444 90.00 90.00 90.00
Space group I-42m (No. 121)
One atom of each set of equivalent atoms:
Ce 0.245 0.245 0.383 x8
Cu 0.000 0.000 0.000 x2
Cu 0.000 0.000 0.251 x4
Cu 0.000 0.500 0.250 x4
As 0.000 0.000 0.500 x2
As 0.000 0.500 0.000 x4
As 0.247 0.247 0.171 x8



# 2
Structure and computed PXRD pattern of Ce2CuAs3Pd4 (a crystal structure in Alexandria, relaxed with GGA-PBE; copper Kα).

Top 10 peaks for 2θ = 10–80°, in order of falling intensity:
2θ (°), I/Imax, (hkl)
34.27, 100, 1 1 2
41.89, 67, 2 0 0
33.59, 64, 1 0 3
54.73, 31, 2 1 3
49.48, 26, 1 0 5
71.63, 23, 3 1 2
60.74, 22, 2 2 0
66.79, 21, 2 1 5
46.46, 19, 1 1 4
29.29, 14, 1 1 0

Structural model:
Lattice parameters (Å, degrees): 4.313 4.313 10.187 90.00 90.00 90.00
Space group P-4m2 (No. 115)
One atom of each set of equivalent atoms:
Ce 0.000 0.500 0.250 x2
Cu 0.000 0.000 0.500 x1
As 0.000 0.500 0.863 x2
As 0.500 0.500 0.500 x1
Pd 0.000 0.000 0.000 x1
Pd 0.000 0.500 0.624 x2
Pd 0.500 0.500 0.000 x1



# 3
Structure and computed PXRD pattern of Ce5DyAs6 (a crystal structure in Alexandria, relaxed with GGA-PBE; copper Kα).

Top 9 peaks for 2θ = 10–80°, in order of falling intensity:
2θ (°), I/Imax, (hkl)
30.08, 100, 1 3 1
43.05, 75, 2 0 2
70.93, 34, 4 6 0
53.41, 26, 4 0 0
78.92, 25, 5 3 1
25.97, 17, 2 0 0
62.52, 12, 2 6 2
50.97, 8, 3 3 1
68.87, 3, 4 0 2

Structural model:
Lattice parameters (Å, degrees): 7.278 12.606 7.278 90.00 109.48 90.00
Space group C2/m (No. 12)
One atom of each set of equivalent atoms:
Ce 0.000 0.000 0.000 x2
Ce 0.000 0.166 0.500 x4
Ce 0.000 0.333 0.000 x4
Dy 0.000 0.500 0.500 x2
As 0.248 0.334 0.748 x8
As 0.248 0.500 0.251 x4



# 4
Structure and computed PXRD pattern of Ce5Dy3As8 (a crystal structure in Alexandria, relaxed with GGA-PBE; copper Kα).

Top 10 peaks for 2θ = 10–80°, in order of falling intensity:
2θ (°), I/Imax, (hkl)
30.24, 100, 0 2 4
43.29, 75, 2 2 0
71.35, 34, 2 4 4
53.71, 26, 4 0 4
79.40, 19, 6 0 0
26.11, 18, 2 0 2
62.89, 12, 0 4 8
51.26, 9, 0 2 10
79.48, 6, 0 2 16
69.28, 4, 2 0 14

Structural model:
Lattice parameters (Å, degrees): 8.3633 8.3633 20.4616 90.00 90.00 120.00
Space group R-3m (No. 166, hexagonal axes)
One atom of each set of equivalent atoms:
Ce 0.0000 0.0000 0.0000 x3
Ce 0.0000 0.0000 0.5000 x3
Ce 0.0000 0.5000 0.0000 x9
Dy 0.0000 0.5000 0.5000 x9
As 0.0000 0.0000 0.2487 x6
As 0.0022 0.5011 0.7511 x18



# 5
Structure and computed PXRD pattern of Ce4DyAs6 (a crystal structure in Alexandria, relaxed with GGA-PBE; copper Kα).

Top 10 peaks for 2θ = 10–80°, in order of falling intensity:
2θ (°), I/Imax, (hkl)
34.36, 100, 2 1 4
36.37, 91, 2 2 3
26.87, 86, 3 0 0
33.02, 81, 1 3 1
30.51, 74, 0 2 4
47.03, 49, 3 2 4
71.22, 36, 3 5 4
41.57, 34, 4 1 0
55.42, 31, 6 0 0
24.06, 29, 1 1 3

Structural model:
Lattice parameters (Å, degrees): 11.4961 11.4961 14.4959 90.00 90.00 120.00
Space group R-3c (No. 167, hexagonal axes)
One atom of each set of equivalent atoms:
Ce 0.0000 0.0000 0.2500 x6
Ce 0.0000 0.3824 0.2500 x18
Dy 0.0000 0.0000 0.0000 x6
As 0.0296 0.2096 0.3863 x36



# 6
Structure and computed PXRD pattern of CeDy3Ho2As6 (a crystal structure in Alexandria, relaxed with GGA-PBE; copper Kα).

Top 9 peaks for 2θ = 10–80°, in order of falling intensity:
2θ (°), I/Imax, (hkl)
30.63, 100, 1 3 1
43.87, 75, 2 0 2
72.41, 34, 4 6 0
54.45, 26, 4 0 0
26.45, 22, 2 0 0
63.78, 12, 2 6 2
51.97, 6, 3 3 1
51.95, 5, 1 3 3
70.30, 4, 4 0 2

Structural model:
Lattice parameters (Å, degrees): 7.147 12.378 7.152 90.00 109.46 90.00
Space group C2/m (No. 12)
One atom of each set of equivalent atoms:
Ce 0.000 0.000 0.000 x2
Dy 0.000 0.166 0.500 x4
Dy 0.000 0.500 0.500 x2
Ho 0.000 0.333 0.000 x4
As 0.248 0.500 0.249 x4
As 0.249 0.333 0.749 x8



# 7
Structure and computed PXRD pattern of Ce2NdDyAs4 (a crystal structure in Alexandria, relaxed with GGA-PBE; copper Kα).

Top 10 peaks for 2θ = 10–80°, in order of falling intensity:
2θ (°), I/Imax, (hkl)
30.05, 100, 1 1 1
43.01, 75, 0 2 0
70.85, 34, 4 2 0
53.36, 26, 4 0 0
78.82, 19, 3 3 -1
25.95, 18, 0 0 2
62.46, 12, 2 2 2
50.92, 9, 1 1 3
78.90, 6, 6 0 -2
68.80, 4, 2 0 4

Structural model:
Lattice parameters (Å, degrees): 7.280 4.206 7.289 90.00 109.49 90.00
Space group P2/m (No. 10)
One atom of each set of equivalent atoms:
Ce 0.000 0.000 0.000 x1
Ce 0.000 0.500 0.500 x1
Nd 0.500 0.000 0.500 x1
Dy 0.500 0.500 0.000 x1
As 0.247 0.500 0.244 x2
As 0.251 0.000 0.755 x2



# 8
Structure and computed PXRD pattern of CeDyNi2As2 (a crystal structure in Alexandria, relaxed with GGA-PBE; copper Kα).

Top 10 peaks for 2θ = 10–80°, in order of falling intensity:
2θ (°), I/Imax, (hkl)
34.20, 100, 1 0 2
44.49, 42, 1 1 0
66.18, 24, 1 1 4
57.29, 22, 0 2 2
75.30, 20, 2 1 2
25.25, 13, 1 0 0
46.33, 12, 0 0 4
77.99, 9, 1 0 6
53.49, 4, 0 1 4
51.85, 2, 2 0 0

Structural model:
Lattice parameters (Å, degrees): 4.0725 4.0725 7.8385 90.00 90.00 120.00
Space group P-3m1 (No. 164)
One atom of each set of equivalent atoms:
Ce 0.0000 0.0000 0.0000 x1
Dy 0.0000 0.0000 0.5000 x1
Ni 0.3333 0.6667 0.7598 x2
As 0.3333 0.6667 0.2606 x2



# 9
Structure and computed PXRD pattern of Ce2DyAs3Rh4 (a crystal structure in Alexandria, relaxed with GGA-PBE; copper Kα).

Top 10 peaks for 2θ = 10–80°, in order of falling intensity:
2θ (°), I/Imax, (hkl)
34.62, 100, 1 1 2
44.12, 46, 2 0 0
31.94, 28, 1 0 3
75.01, 21, 3 1 2
45.19, 20, 1 0 5
44.35, 19, 1 1 4
64.17, 15, 2 2 0
65.00, 13, 2 1 5
38.22, 12, 1 0 4
55.50, 12, 2 1 3

Structural model:
Lattice parameters (Å, degrees): 4.105 4.105 11.500 90.00 90.00 90.00
Space group P-4m2 (No. 115)
One atom of each set of equivalent atoms:
Ce 0.000 0.500 0.226 x2
Dy 0.000 0.000 0.500 x1
As 0.000 0.500 0.873 x2
As 0.500 0.500 0.500 x1
Rh 0.000 0.000 0.000 x1
Rh 0.000 0.500 0.662 x2
Rh 0.500 0.500 0.000 x1



# 10
Structure and computed PXRD pattern of CeDyAs2Rh2 (a crystal structure in Alexandria, relaxed with GGA-PBE; copper Kα).

Top 10 peaks for 2θ = 10–80°, in order of falling intensity:
2θ (°), I/Imax, (hkl)
33.79, 100, 0 1 2
42.33, 51, 1 1 0
65.73, 27, 1 1 4
55.23, 24, 2 0 2
71.96, 22, 1 2 2
47.80, 12, 0 0 4
77.41, 8, 3 0 0
79.95, 8, 0 1 6
24.06, 7, 1 0 0
26.80, 2, 0 1 1

Structural model:
Lattice parameters (Å, degrees): 4.2706 4.2706 7.6120 90.00 90.00 120.00
Space group P-3m1 (No. 164)
One atom of each set of equivalent atoms:
Ce 0.0000 0.0000 0.0000 x1
Dy 0.0000 0.0000 0.5000 x1
As 0.3333 0.6667 0.2472 x2
Rh 0.3333 0.6667 0.7392 x2



# 11
Structure and computed PXRD pattern of Ce2DyAs2Rh7 (a crystal structure in Alexandria, relaxed with GGA-PBE; copper Kα).

Top 10 peaks for 2θ = 10–80°, in order of falling intensity:
2θ (°), I/Imax, (hkl)
44.46, 100, 2 2 -1
37.56, 79, 0 2 3
37.31, 29, 2 0 2
31.02, 29, 0 2 0
41.77, 26, 0 0 6
34.09, 24, 2 0 -3
31.83, 21, 2 0 -2
64.76, 19, 0 4 0
64.58, 19, 4 0 -2
44.26, 18, 1 1 5

Structural model:
Lattice parameters (Å, degrees): 5.772 5.758 13.262 90.00 102.08 90.00
Space group C2/m (No. 12)
One atom of each set of equivalent atoms:
Ce 0.163 0.000 0.345 x4
Dy 0.000 0.000 0.000 x2
As 0.127 0.500 0.265 x4
Rh 0.000 0.500 0.000 x2
Rh 0.172 0.250 0.838 x8
Rh 0.212 0.500 0.458 x4



# 12
Structure and computed PXRD pattern of Ce2DyZrAs4 (a crystal structure in Alexandria, relaxed with GGA-PBE; copper Kα).

Top 10 peaks for 2θ = 10–80°, in order of falling intensity:
2θ (°), I/Imax, (hkl)
30.87, 100, 1 1 1
44.23, 73, 0 2 0
54.91, 26, 2 2 -2
73.08, 16, 1 3 1
73.02, 16, 0 2 4
26.65, 14, 2 0 0
64.33, 12, 2 2 2
52.39, 7, 3 1 1
70.88, 1, 4 0 2
33.72, 1, 1 1 -2

Structural model:
Lattice parameters (Å, degrees): 7.094 4.093 7.096 90.00 109.38 90.00
Space group P2/m (No. 10)
One atom of each set of equivalent atoms:
Ce 0.000 0.000 0.000 x1
Ce 0.000 0.500 0.500 x1
Dy 0.500 0.000 0.500 x1
Zr 0.500 0.500 0.000 x1
As 0.261 0.500 0.246 x2
As 0.265 0.000 0.762 x2